# 1
Diffraction record for La5NdN5. The X-ray diffraction stick pattern is computed, not measured: it uses a crystal structure in Alexandria, relaxed with PBE and λ = 1.5418 Å (Cu Kα).

Peak list (6 most intense, 10° ≤ 2θ ≤ 90°, low angle first)
| two_theta | I (rel.) | (hkl) |
| --- | --- | --- |
| 29.4 | 100 | 3 1 0 |
| 33.9 | 24 | 0 2 0 |
| 34.1 | 47 | 2 0 2 |
| 48.9 | 33 | 2 2 2 |
| 57.9 | 15 | 3 3 0 |
| 58.2 | 22 | 5 1 2 |

Cell and atoms:
Unit cell a=11.7270 b=5.2909 c=7.4359 alpha=90.00 beta=108.43 gamma=90.00
Space group C2/m (No. 12)
Inequivalent atoms, fractional coordinates:
La 0.0000 0.0000 0.0000 [2 per cell]
La 0.1706 0.5000 0.3455 [4 per cell]
La 0.1720 0.5000 0.8268 [4 per cell]
Nd 0.0000 0.0000 0.5000 [2 per cell]
N 0.0000 0.5000 0.5000 [2 per cell]
N 0.1620 0.0000 0.8349 [4 per cell]
N 0.1712 0.0000 0.3365 [4 per cell]

***

# 2
Diffraction record for Ho5Zn2Cu2. The X-ray diffraction stick pattern is computed, not measured: it uses a crystal structure in Alexandria, relaxed with PBE and λ = 1.5418 Å (Cu Kα).

Peak list (6 most intense, 10° ≤ 2θ ≤ 90°, low angle first)
| two_theta | I (rel.) | (hkl) |
| --- | --- | --- |
| 28.1 | 59 | 0 2 1 |
| 32.2 | 100 | 3 1 2 |
| 33.0 | 88 | 4 0 2 |
| 33.5 | 96 | 4 2 0 |
| 35.4 | 56 | 0 2 2 |
| 35.8 | 81 | 4 2 1 |

Cell and atoms:
Unit cell a=16.3889 b=7.0706 c=7.2635 alpha=90.00 beta=90.00 gamma=90.00
Space group Cmce (No. 64)
Inequivalent atoms, fractional coordinates:
Ho 0.0000 0.0000 0.0000 [4 per cell]
Ho 0.1374 0.1849 0.3205 [16 per cell]
Zn 0.2223 0.0000 0.0000 [8 per cell]
Cu 0.0000 0.1162 0.6232 [8 per cell]

***

# 3
Diffraction record for CaAc12Pr7. The X-ray diffraction stick pattern is computed, not measured: it uses a crystal structure in Alexandria, relaxed with PBE and λ = 1.5418 Å (Cu Kα).

Peak list (6 most intense, 10° ≤ 2θ ≤ 90°, low angle first)
| two_theta | I (rel.) | (hkl) |
| --- | --- | --- |
| 25.0 | 100 | 3 2 1 |
| 25.6 | 36 | 3 3 0 |
| 27.7 | 51 | 2 0 2 |
| 27.8 | 35 | 0 5 1 |
| 30.8 | 78 | 5 2 0 |
| 31.5 | 45 | 4 -1 2 |

Cell and atoms:
Unit cell a=20.9140 b=20.9140 c=6.8925 alpha=90.00 beta=90.00 gamma=120.00
Space group R-3 (No. 148, hexagonal axes)
Inequivalent atoms, fractional coordinates:
Ca 0.0000 0.0000 0.0000 [3 per cell]
Ac 0.0288 0.4254 0.5527 [18 per cell]
Ac 0.1045 0.8819 0.3801 [18 per cell]
Pr 0.0000 0.0000 0.5000 [3 per cell]
Pr 0.0524 0.8797 0.8734 [18 per cell]

***

# 4
Diffraction record for Al8FeCo2. The X-ray diffraction stick pattern is computed, not measured: it uses a crystal structure in Alexandria, relaxed with PBE and λ = 1.5418 Å (Cu Kα).

Peak list (6 most intense, 10° ≤ 2θ ≤ 90°, low angle first)
| two_theta | I (rel.) | (hkl) |
| --- | --- | --- |
| 25.7 | 30 | 1 1 0 |
| 27.9 | 17 | 0 1 3 |
| 42.4 | 100 | 1 2 3 |
| 42.7 | 30 | 1 1 4 |
| 45.8 | 31 | 2 0 0 |
| 82.3 | 13 | 3 2 3 |

Cell and atoms:
Unit cell a=3.9659 b=7.1614 c=10.7081 alpha=90.00 beta=90.00 gamma=90.00
Space group Immm (No. 71)
Inequivalent atoms, fractional coordinates:
Al 0.0000 0.0000 0.1387 [4 per cell]
Al 0.0000 0.2183 0.3392 [8 per cell]
Al 0.0000 0.3196 0.0000 [4 per cell]
Fe 0.0000 0.5000 0.5000 [2 per cell]
Co 0.0000 0.5000 0.2012 [4 per cell]

***

# 5
Diffraction record for BaTlSe2. The X-ray diffraction stick pattern is computed, not measured: it uses a crystal structure in Alexandria, relaxed with PBE and λ = 1.5418 Å (Cu Kα).

Peak list (6 most intense, 10° ≤ 2θ ≤ 90°, low angle first)
| two_theta | I (rel.) | (hkl) |
| --- | --- | --- |
| 21.1 | 19 | 1 1 0 |
| 30.0 | 68 | 2 0 0 |
| 33.7 | 100 | 1 1 2 |
| 43.0 | 25 | 2 2 0 |
| 55.7 | 47 | 3 1 2 |
| 62.5 | 17 | 2 0 4 |

Cell and atoms:
Unit cell a=5.9517 b=5.9517 c=6.8565 alpha=90.00 beta=90.00 gamma=90.00
Space group I4/mmm (No. 139)
Inequivalent atoms, fractional coordinates:
Ba 0.0000 0.0000 0.0000 [2 per cell]
Tl 0.0000 0.0000 0.5000 [2 per cell]
Se 0.0000 0.5000 0.2500 [4 per cell]

***

# 6
Diffraction record for YFe9B4. The X-ray diffraction stick pattern is computed, not measured: it uses a crystal structure in Alexandria, relaxed with PBE and λ = 1.5418 Å (Cu Kα).

Peak list (6 most intense, 10° ≤ 2θ ≤ 90°, low angle first)
| two_theta | I (rel.) | (hkl) |
| --- | --- | --- |
| 32.5 | 18 | 0 0 4 |
| 36.7 | 26 | 2 1 3 |
| 42.3 | 100 | 1 3 2 |
| 49.6 | 11 | 0 0 6 |
| 51.5 | 15 | 1 3 4 |
| 56.1 | 22 | 4 2 0 |

Cell and atoms:
Unit cell a=7.3330 b=7.3330 c=11.0220 alpha=90.00 beta=90.00 gamma=90.00
Space group I4/m (No. 87)
Inequivalent atoms, fractional coordinates:
Y 0.0000 0.0000 0.2489 [4 per cell]
Fe 0.0000 0.5000 0.0000 [4 per cell]
Fe 0.0842 0.8008 0.0000 [8 per cell]
Fe 0.1080 0.8082 0.5000 [8 per cell]
Fe 0.1234 0.3512 0.3223 [16 per cell]
B 0.1285 0.3127 0.1358 [16 per cell]

***

# 7
Diffraction record for Dy5Hg2RuRh2. The X-ray diffraction stick pattern is computed, not measured: it uses a crystal structure in Alexandria, relaxed with PBE and λ = 1.5418 Å (Cu Kα).

Peak list (6 most intense, 10° ≤ 2θ ≤ 90°, low angle first)
| two_theta | I (rel.) | (hkl) |
| --- | --- | --- |
| 30.7 | 18 | 2 1 1 |
| 32.0 | 56 | 4 1 0 |
| 32.9 | 21 | 3 3 0 |
| 34.7 | 17 | 4 2 0 |
| 35.4 | 100 | 3 1 1 |
| 37.9 | 33 | 3 2 1 |

Cell and atoms:
Unit cell a=11.5454 b=11.5454 c=3.5300 alpha=90.00 beta=90.00 gamma=90.00
Space group P4/mbm (No. 127)
Inequivalent atoms, fractional coordinates:
Dy 0.0000 0.5000 0.0000 [2 per cell]
Dy 0.0764 0.1916 0.0000 [8 per cell]
Hg 0.1745 0.6745 0.5000 [4 per cell]
Ru 0.0000 0.0000 0.5000 [2 per cell]
Rh 0.1323 0.3677 0.5000 [4 per cell]

***

# 8
Diffraction record for Ce2Th13. The X-ray diffraction stick pattern is computed, not measured: it uses a crystal structure in Alexandria, relaxed with PBE and λ = 1.5418 Å (Cu Kα).

Peak list (6 most intense, 10° ≤ 2θ ≤ 90°, low angle first)
| two_theta | I (rel.) | (hkl) |
| --- | --- | --- |
| 31.3 | 46 | 0 2 4 |
| 31.8 | 80 | 1 3 1 |
| 32.5 | 100 | 3 0 3 |
| 33.8 | 60 | 0 1 5 |
| 37.0 | 66 | 0 4 2 |
| 43.8 | 49 | 4 0 4 |

Cell and atoms:
Unit cell a=11.9856 b=11.9856 c=13.7054 alpha=90.00 beta=90.00 gamma=120.00
Space group R-3m (No. 166, hexagonal axes)
Inequivalent atoms, fractional coordinates:
Ce 0.0000 0.0000 0.2208 [6 per cell]
Th 0.0000 0.0000 0.0000 [3 per cell]
Th 0.0384 0.5192 0.7379 [18 per cell]
Th 0.0978 0.1956 0.3910 [18 per cell]

***

Which formula does entry 2 have? Ho5Zn2Cu2